No. 1
This entry pairs a crystal structure of NaCa16Mg12 with its computed XRD peak list. Radiation: copper Kα. Structure: a PBE-relaxed structure.

Most intense lines, 2θ from 15° to 90°, by intensity:
d (Å)	Position (°2θ)	I (rel.)
2.934	30.47	100.0
2.924	30.57	95.5
2.901	30.82	92.4
2.957	30.22	71.3
2.994	29.84	32.7
2.619	34.24	28.5
3.107	28.74	27.4
2.868	31.19	21.1
2.682	33.42	20.1
2.574	34.85	19.1

Crystal structure
Cell: 10.6126 10.6126 10.9072 Å, 109.39 109.39 108.33°
Atoms (fractional coordinates):
Na1 0.0000 0.0000 0.0000
Ca1 0.0209 0.3305 0.7107
Ca2 0.2068 0.9464 0.3071
Ca3 0.2157 0.6189 0.6246
Ca4 0.2742 0.2742 0.9821
Ca5 0.2974 0.9013 0.9924
Ca6 0.3173 0.3173 0.6147
Ca7 0.3305 0.0209 0.7107
Ca8 0.6140 0.6140 0.6345
Ca9 0.6150 0.9694 0.3059
Ca10 0.6163 0.9238 0.9075
Ca11 0.6189 0.2157 0.6246
Ca12 0.6192 0.6192 0.3055
Ca13 0.9013 0.2974 0.9924
Ca14 0.9238 0.6163 0.9075
Ca15 0.9464 0.2068 0.3071
Ca16 0.9694 0.6150 0.3059
Mg1 0.2509 0.6233 0.1328
Mg2 0.2596 0.4440 0.3141
Mg3 0.4318 0.6180 0.9535
Mg4 0.4328 0.8027 0.4883
Mg5 0.4440 0.2596 0.3141
Mg6 0.6180 0.4318 0.9535
Mg7 0.6233 0.2509 0.1328
Mg8 0.7909 0.9754 0.6601
Mg9 0.7929 0.7929 0.1303
Mg10 0.8027 0.4328 0.4883
Mg11 0.9754 0.7909 0.6601
Mg12 0.9776 0.9776 0.4847

***

No. 2
This entry pairs a crystal structure of Na2CaMgP2O8 with its computed XRD peak list. Radiation: copper Kα. Structure: a PBE-relaxed structure.

Most intense lines, 2θ from 15° to 90°, by intensity:
d (Å)	Position (°2θ)	I (rel.)
2.649	33.84	100.0
3.757	23.68	39.9
2.615	34.29	39.2
1.906	47.72	37.9
2.783	32.16	32.2
2.706	33.10	31.2
1.880	48.43	23.8
2.748	32.58	21.7
2.272	39.67	19.0
3.812	23.34	17.9

Crystal structure
Cell: 9.2194 5.2307 13.6361 Å, 90.00 91.88 90.00°
Atoms (fractional coordinates):
Na1 0.0790 0.2198 0.3807
Na2 0.0790 0.2802 0.8807
Na3 0.4115 0.2182 0.0868
Na4 0.4115 0.2818 0.5868
Na5 0.5885 0.7182 0.4132
Na6 0.5885 0.7818 0.9132
Na7 0.9210 0.7198 0.1193
Na8 0.9210 0.7802 0.6193
Ca1 0.2839 0.6869 0.2497
Ca2 0.2839 0.8131 0.7497
Ca3 0.7161 0.1869 0.2503
Ca4 0.7161 0.3131 0.7503
Mg1 0.2428 0.7369 0.9950
Mg2 0.2428 0.7631 0.4950
Mg3 0.7572 0.2369 0.5050
Mg4 0.7572 0.2631 0.0050
P1 0.0900 0.2251 0.1221
P2 0.0900 0.2749 0.6221
P3 0.4226 0.2294 0.3652
P4 0.4226 0.2706 0.8652
P5 0.5774 0.7294 0.1348
P6 0.5774 0.7706 0.6348
P7 0.9100 0.7251 0.3779
P8 0.9100 0.7749 0.8779
O1 0.0753 0.6856 0.3987
O2 0.0753 0.8144 0.8987
O3 0.1137 0.1445 0.7227
O4 0.1137 0.3555 0.2227
O5 0.1557 0.1021 0.5427
O6 0.1557 0.3979 0.0427
O7 0.1677 0.5437 0.6191
O8 0.1677 0.9563 0.1191
O9 0.3271 0.5121 0.8784
O10 0.3271 0.9879 0.3784
O11 0.3561 0.0376 0.9191
O12 0.3561 0.4624 0.4191
O13 0.4218 0.6785 0.0903
O14 0.4218 0.8215 0.5903
O15 0.4356 0.2019 0.7560
O16 0.4356 0.2981 0.2560
O17 0.5644 0.7019 0.7440
O18 0.5644 0.7981 0.2440
O19 0.5782 0.1785 0.4097
O20 0.5782 0.3215 0.9097
O21 0.6439 0.5376 0.5809
O22 0.6439 0.9624 0.0809
O23 0.6729 0.0121 0.6216
O24 0.6729 0.4879 0.1216
O25 0.8323 0.0437 0.8809
O26 0.8323 0.4563 0.3809
O27 0.8443 0.6021 0.9573
O28 0.8443 0.8979 0.4573
O29 0.8863 0.6445 0.7773
O30 0.8863 0.8555 0.2773
O31 0.9247 0.1856 0.1013
O32 0.9247 0.3144 0.6013

***

No. 3
This entry pairs a crystal structure of Ca2NdMgSe4 with its computed XRD peak list. Radiation: copper Kα. Structure: a PBE-relaxed structure.

Most intense lines, 2θ from 15° to 90°, by intensity:
d (Å)	Position (°2θ)	I (rel.)
2.932	30.49	100.0
2.084	43.42	54.3
2.948	30.32	51.0
2.073	43.67	36.5
1.690	54.27	19.0
2.063	43.88	18.1
1.316	71.73	14.9
1.199	80.04	14.3
5.897	15.02	11.3
1.466	63.46	11.2

Crystal structure
Cell: 7.1922 4.1264 7.2474 Å, 90.00 109.52 90.00°
Atoms (fractional coordinates):
Ca1 0.0000 0.0000 0.0000
Ca2 0.0000 0.5000 0.5000
Nd1 0.5000 0.0000 0.5000
Mg1 0.5000 0.5000 0.0000
Se1 0.2515 0.5000 0.2393
Se2 0.2644 0.0000 0.7671
Se3 0.7356 0.0000 0.2329
Se4 0.7485 0.5000 0.7607

***

No. 4
This entry pairs a crystal structure of Ca3Mg2Ni13 with its computed XRD peak list. Radiation: copper Kα. Structure: a PBE-relaxed structure.

Most intense lines, 2θ from 15° to 90°, by intensity:
d (Å)	Position (°2θ)	I (rel.)
2.105	42.98	100.0
1.978	45.89	49.5
4.167	21.32	45.3
2.004	45.25	31.4
2.127	42.51	30.2
1.236	77.14	23.9
1.793	50.93	23.7
1.345	69.95	20.9
1.995	45.46	19.2
2.084	43.43	17.9

Crystal structure
Cell: 12.3584 12.3584 12.3584 Å, 23.09 23.09 23.09°
Atoms (fractional coordinates):
Ca1 0.0000 0.0000 0.0000
Ca2 0.4571 0.4571 0.4571
Ca3 0.5429 0.5429 0.5429
Mg1 0.0913 0.0913 0.0913
Mg2 0.9087 0.9087 0.9087
Ni1 0.0000 0.0000 0.5000
Ni2 0.0000 0.5000 0.0000
Ni3 0.0522 0.5557 0.5557
Ni4 0.2227 0.2227 0.2227
Ni5 0.3340 0.3340 0.3340
Ni6 0.4443 0.4443 0.9478
Ni7 0.4443 0.9478 0.4443
Ni8 0.5000 0.0000 0.0000
Ni9 0.5557 0.0522 0.5557
Ni10 0.5557 0.5557 0.0522
Ni11 0.6660 0.6660 0.6660
Ni12 0.7773 0.7773 0.7773
Ni13 0.9478 0.4443 0.4443

***

No. 5
This entry pairs a crystal structure of Ca2Mg2Ni15 with its computed XRD peak list. Radiation: copper Kα. Structure: a PBE-relaxed structure.

Most intense lines, 2θ from 15° to 90°, by intensity:
d (Å)	Position (°2θ)	I (rel.)
2.092	43.24	100.0
1.874	48.57	97.1
4.220	21.05	58.6
2.110	42.86	45.8
2.041	44.38	42.5
1.838	49.61	22.1
1.218	78.52	18.3
2.436	36.89	17.7
2.347	38.35	17.0
1.467	63.40	14.5

Crystal structure
Cell: 6.3570 6.3570 6.3570 Å, 83.18 83.18 83.18°
Atoms (fractional coordinates):
Ca1 0.1481 0.1481 0.1481
Ca2 0.8519 0.8519 0.8519
Mg1 0.3944 0.3944 0.3944
Mg2 0.6056 0.6056 0.6056
Ni1 0.0000 0.5000 0.5000
Ni2 0.1551 0.1551 0.6562
Ni3 0.1551 0.6562 0.1551
Ni4 0.2018 0.5000 0.7982
Ni5 0.2018 0.7982 0.5000
Ni6 0.3438 0.8449 0.8449
Ni7 0.5000 0.0000 0.5000
Ni8 0.5000 0.2018 0.7982
Ni9 0.5000 0.5000 0.0000
Ni10 0.5000 0.7982 0.2018
Ni11 0.6562 0.1551 0.1551
Ni12 0.7982 0.2018 0.5000
Ni13 0.7982 0.5000 0.2018
Ni14 0.8449 0.3438 0.8449
Ni15 0.8449 0.8449 0.3438

***

No. 6
This entry pairs a crystal structure of Ca3MgNi14 with its computed XRD peak list. Radiation: copper Kα. Structure: a PBE-relaxed structure.

Most intense lines, 2θ from 15° to 90°, by intensity:
d (Å)	Position (°2θ)	I (rel.)
2.097	43.14	100.0
4.249	20.91	44.6
1.929	47.11	36.7
1.983	45.76	31.6
2.136	42.32	23.5
1.835	49.68	23.0
1.235	77.23	21.5
1.342	70.11	21.0
2.470	36.37	16.0
1.885	48.29	10.6

Crystal structure
Cell: 12.2330 12.2330 12.2330 Å, 23.30 23.30 23.30°
Atoms (fractional coordinates):
Ca1 0.0000 0.0000 0.0000
Ca2 0.0982 0.0982 0.0982
Ca3 0.2037 0.2037 0.2037
Mg1 0.2981 0.2981 0.2981
Ni1 0.0408 0.5390 0.5390
Ni2 0.1499 0.6503 0.6503
Ni3 0.2609 0.7607 0.7607
Ni4 0.4278 0.4278 0.4278
Ni5 0.5390 0.0408 0.5390
Ni6 0.5390 0.5390 0.0408
Ni7 0.5386 0.5386 0.5386
Ni8 0.6503 0.1499 0.6503
Ni9 0.6503 0.6503 0.1499
Ni10 0.6497 0.6497 0.6497
Ni11 0.7607 0.2609 0.7607
Ni12 0.7607 0.7607 0.2609
Ni13 0.7612 0.7612 0.7612
Ni14 0.8725 0.8725 0.8725

***

No. 7
This entry pairs a crystal structure of CaMg6Ni with its computed XRD peak list. Radiation: copper Kα. Structure: a PBE-relaxed structure.

Most intense lines, 2θ from 15° to 90°, by intensity:
d (Å)	Position (°2θ)	I (rel.)
2.410	37.32	100.0
2.531	35.46	49.1
2.429	37.01	39.0
5.551	15.97	31.0
2.775	32.26	29.7
2.756	32.49	21.7
1.828	49.89	16.4
1.399	66.90	16.2
3.758	23.67	15.7
1.318	71.57	14.6

Crystal structure
Cell: 4.8579 6.2804 11.8639 Å, 90.00 90.00 90.00°
Atoms (fractional coordinates):
Ca1 0.0000 0.0000 0.0000
Ca2 0.0000 0.5000 0.5000
Mg1 0.0000 0.0000 0.5405
Mg2 0.0000 0.2445 0.7740
Mg3 0.0000 0.2555 0.2740
Mg4 0.0000 0.5000 0.0405
Mg5 0.0000 0.7445 0.2740
Mg6 0.0000 0.7555 0.7740
Mg7 0.5000 0.0000 0.3793
Mg8 0.5000 0.2430 0.6368
Mg9 0.5000 0.2570 0.1368
Mg10 0.5000 0.5000 0.8793
Mg11 0.5000 0.7430 0.1368
Mg12 0.5000 0.7570 0.6368
Ni1 0.5000 0.0000 0.8266
Ni2 0.5000 0.5000 0.3266